Starting from the PBE geometry in Alexandria, the powder diffraction line list of TiNbW6 was simulated for λ = 1.5418 Å (Cu Kα).

Structural model:
a = 4.504 Å, b = 5.535 Å, c = 5.535 Å
α = 70.44°, β = 90.00°, γ = 90.00°
Fractional positions:
Ti: 0.000 0.000 0.000
Nb: 0.500 0.249 0.249
W: 0.000 0.501 0.501
W: 0.000 0.504 0.998
W: 0.000 0.998 0.504
W: 0.500 0.251 0.749
W: 0.500 0.749 0.251
W: 0.500 0.752 0.752

The 6 most intense peaks (5° ≤ 2θ ≤ 70°), low angle first:
| 2θ/deg | d [Å] | intensity |
| --- | --- | --- |
| 17.00 | 5.215 | 6 |
| 26.14 | 3.409 | 4 |
| 27.96 | 3.191 | 5 |
| 39.93 | 2.258 | 100 |
| 40.04 | 2.252 | 20 |
| 57.78 | 1.596 | 20 |